The following is a simulated powder X-ray diffraction pattern of Sm6YZn. It was derived from the PBE geometry in Alexandria, using CuKα.

Top 10 peaks for 2θ from 5° to 70°, by intensity:
| h k l | Position (°2θ) | d_spacing | Rel. int. |
| --- | --- | --- | --- |
| 1 -2 0 | 30.31 | 2.949 | 100 |
| 1 2 -1 | 34.23 | 2.620 | 72 |
| 2 1 0 | 33.16 | 2.701 | 27 |
| 1 1 1 | 27.07 | 3.294 | 25 |
| 2 1 -3 | 51.21 | 1.784 | 24 |
| 0 3 1 | 47.10 | 1.930 | 19 |
| 0 4 -1 | 58.87 | 1.569 | 14 |
| 2 0 0 | 28.34 | 3.150 | 12 |
| 2 -4 0 | 63.05 | 1.474 | 10 |
| 3 1 2 | 59.43 | 1.555 | 10 |

Crystal structure
a b c (Å): 6.3661 6.3682 6.3699
angles (deg): 95.66 95.70 95.60
Space group P-1 (No. 2)
Inequivalent atoms, fractional coordinates:
Sm 0.0448 0.2640 0.0753
Sm 0.2362 0.9244 0.4554
Sm 0.4249 0.4550 0.7361
Y 0.5000 0.0000 0.0000
Zn 0.0000 0.5000 0.5000